# 1
Theoretical PXRD pattern
Compound: Pu4InRu2
Radiation: λ = 1.5418 Å (Cu Kα)
Structure: a DFT-relaxed cell (PBE, Alexandria)

Largest 8 diffraction maxima, by intensity, 10 to 90 degrees two-theta:
d/Å, Position (°2θ), Rel. int.
2.723, 32.89, 100
2.308, 39.02, 66
2.302, 39.14, 62
2.753, 32.52, 61
3.062, 29.16, 28
3.520, 25.30, 25
1.688, 54.35, 21
1.362, 68.94, 19

Structure:
```
Pu4InRu2
1.0
-4.302 4.302 4.359
4.302 -4.302 4.359
4.302 4.302 -4.359
Pu In Ru
8 2 4
Cartesian
2.925 -0.657 0.707
5.679 0.657 0.707
3.645 2.925 -1.473
4.959 -1.377 3.652
0.657 1.377 2.886
3.645 1.377 3.652
1.377 -0.657 5.832
2.925 4.959 1.473
0.000 0.000 0.000
0.000 4.302 2.180
2.151 -1.512 3.269
2.790 2.151 1.090
2.151 5.814 -1.090
1.512 2.151 5.449
```

# 2
Theoretical PXRD pattern
Compound: PuIn2S4
Radiation: λ = 1.5418 Å (Cu Kα)
Structure: a DFT-relaxed cell (PBE, Alexandria)

Largest 8 diffraction maxima, by intensity, 10 to 90 degrees two-theta:
d/Å, Position (°2θ), Rel. int.
3.418, 26.07, 100
2.138, 42.27, 41
4.276, 20.77, 39
5.689, 15.58, 33
1.734, 52.81, 28
1.904, 47.78, 19
2.368, 37.99, 17
2.011, 45.07, 17

Structure:
```
PuIn2S4
1.0
5.689 0.000 0.000
0.000 5.689 0.000
0.000 0.000 6.483
Pu In S
1 2 4
Cartesian
0.000 0.000 0.000
0.000 2.845 3.241
2.845 0.000 3.241
1.513 1.513 1.710
1.513 4.176 4.773
4.176 1.513 4.773
4.176 4.176 1.710
```

# 3
Theoretical PXRD pattern
Compound: PuIn3S6
Radiation: λ = 1.5418 Å (Cu Kα)
Structure: a DFT-relaxed cell (PBE, Alexandria)

Largest 8 diffraction maxima, by intensity, 10 to 90 degrees two-theta:
d/Å, Position (°2θ), Rel. int.
3.608, 24.67, 100
2.823, 31.69, 99
3.783, 23.52, 96
2.614, 34.31, 71
1.961, 46.29, 55
3.096, 28.84, 53
3.171, 28.14, 52
2.165, 41.72, 45

Structure:
```
PuIn3S6
1.0
10.848 0.000 0.000
0.000 3.921 0.000
-4.267 0.000 10.521
Pu In S
2 6 12
Cartesian
1.922 0.980 0.518
4.658 2.941 10.003
-1.104 2.941 3.165
1.769 0.980 4.594
0.863 2.941 8.756
5.718 0.980 1.765
4.812 2.941 5.927
7.684 0.980 7.356
-3.413 2.941 9.466
-0.800 0.980 4.763
1.466 2.941 2.678
-0.805 0.980 8.415
4.118 2.941 0.747
2.169 2.941 6.335
4.412 0.980 4.186
2.462 0.980 9.773
7.386 2.941 2.106
5.115 0.980 7.843
7.381 2.941 5.758
9.994 0.980 1.055
```

# 4
Theoretical PXRD pattern
Compound: Pu3InS6
Radiation: λ = 1.5418 Å (Cu Kα)
Structure: a DFT-relaxed cell (PBE, Alexandria)

Largest 8 diffraction maxima, by intensity, 10 to 90 degrees two-theta:
d/Å, Position (°2θ), Rel. int.
3.536, 25.19, 100
3.489, 25.53, 44
2.122, 42.61, 28
1.796, 50.85, 26
2.407, 37.36, 25
1.846, 49.38, 22
3.430, 25.98, 19
2.364, 38.07, 19

Structure:
```
Pu3InS6
1.0
5.327 -6.614 0.000
5.327 6.614 0.000
0.000 0.000 6.759
Pu In S
6 2 12
Cartesian
5.327 5.342 3.380
3.336 1.350 2.710
3.336 -1.350 6.090
7.318 1.350 2.710
7.318 -1.350 6.090
5.327 -5.342 0.000
5.327 2.455 6.136
5.327 -2.455 2.756
3.549 3.451 4.680
1.743 0.409 4.747
1.743 -0.409 1.367
5.327 3.098 1.788
7.105 3.451 4.680
5.327 0.154 0.617
5.327 -0.154 3.996
3.549 -3.451 1.301
5.327 -3.098 5.168
8.911 0.409 4.747
8.911 -0.409 1.367
7.105 -3.451 1.301
```

# 5
Theoretical PXRD pattern
Compound: Pu2InSb4
Radiation: λ = 1.5418 Å (Cu Kα)
Structure: a DFT-relaxed cell (PBE, Alexandria)

Largest 8 diffraction maxima, by intensity, 10 to 90 degrees two-theta:
d/Å, Position (°2θ), Rel. int.
2.658, 33.72, 100
2.178, 41.47, 34
1.332, 70.71, 23
4.024, 22.09, 21
3.355, 26.57, 18
1.678, 54.72, 16
2.631, 34.07, 15
2.252, 40.04, 15

Structure:
```
Pu2InSb4
1.0
4.355 0.000 0.000
0.000 4.355 0.000
0.000 0.000 10.525
Pu In Sb
2 1 4
Cartesian
0.000 2.178 2.425
2.178 0.000 8.099
0.000 0.000 5.262
0.000 0.000 0.000
0.000 2.178 7.234
2.178 0.000 3.291
2.178 2.178 0.000
```

# 6
Theoretical PXRD pattern
Compound: PuInSe3
Radiation: λ = 1.5418 Å (Cu Kα)
Structure: a DFT-relaxed cell (PBE, Alexandria)

Largest 8 diffraction maxima, by intensity, 10 to 90 degrees two-theta:
d/Å, Position (°2θ), Rel. int.
3.500, 25.45, 100
2.080, 43.50, 70
2.524, 35.56, 69
3.878, 22.93, 68
2.303, 39.12, 65
3.588, 24.82, 50
4.661, 19.04, 49
1.876, 48.53, 42

Structure:
```
PuInSe3
1.0
7.203 0.000 0.000
0.000 4.163 0.000
-2.027 0.000 10.505
Pu In Se
2 2 6
Cartesian
0.707 1.041 4.505
4.469 3.122 6.001
1.073 1.041 9.037
4.102 3.122 1.468
-0.946 1.041 6.851
-0.086 3.122 10.188
2.641 3.122 3.694
2.535 1.041 6.811
5.261 1.041 0.317
6.121 3.122 3.655
```

# 7
Theoretical PXRD pattern
Compound: Sm3PuIn12
Radiation: λ = 1.5418 Å (Cu Kα)
Structure: a DFT-relaxed cell (PBE, Alexandria)

Largest 8 diffraction maxima, by intensity, 10 to 90 degrees two-theta:
d/Å, Position (°2θ), Rel. int.
2.699, 33.19, 100
1.653, 55.60, 34
2.335, 38.55, 33
1.409, 66.36, 26
2.343, 38.42, 17
1.412, 66.19, 13
1.350, 69.66, 11
1.168, 82.63, 4

Structure:
```
Sm3PuIn12
1.0
4.671 0.000 0.000
0.000 4.671 0.000
0.000 0.000 18.742
Sm Pu In
3 1 12
Cartesian
0.000 0.000 0.000
0.000 0.000 4.680
0.000 0.000 14.062
0.000 0.000 9.371
0.000 2.335 2.348
0.000 2.335 7.062
0.000 2.335 11.680
0.000 2.335 16.394
2.335 0.000 2.348
2.335 0.000 7.062
2.335 0.000 11.680
2.335 0.000 16.394
2.335 2.335 0.000
2.335 2.335 4.706
2.335 2.335 9.371
2.335 2.335 14.036
```

# 8
Theoretical PXRD pattern
Compound: SmPuIn
Radiation: λ = 1.5418 Å (Cu Kα)
Structure: a DFT-relaxed cell (PBE, Alexandria)

Largest 8 diffraction maxima, by intensity, 10 to 90 degrees two-theta:
d/Å, Position (°2θ), Rel. int.
2.786, 32.13, 100
2.594, 34.58, 42
1.532, 60.43, 33
1.651, 55.67, 20
1.834, 49.71, 15
1.393, 67.21, 11
2.141, 42.21, 11
3.527, 25.25, 10

Structure:
```
SmPuIn
1.0
3.668 0.000 0.000
0.000 3.668 0.000
0.000 0.000 12.847
Sm Pu In
2 2 2
Cartesian
0.000 0.000 0.000
1.834 1.834 6.423
0.000 0.000 8.790
1.834 1.834 2.366
0.000 0.000 4.385
1.834 1.834 10.808
```

# 9
Theoretical PXRD pattern
Compound: SmPuIn3
Radiation: λ = 1.5418 Å (Cu Kα)
Structure: a DFT-relaxed cell (PBE, Alexandria)

Largest 8 diffraction maxima, by intensity, 10 to 90 degrees two-theta:
d/Å, Position (°2θ), Rel. int.
2.804, 31.91, 100
7.012, 12.62, 64
2.695, 33.24, 56
1.956, 46.42, 49
2.218, 40.67, 46
3.082, 28.97, 30
4.102, 21.67, 29
2.011, 45.08, 27

Structure:
```
SmPuIn3
1.0
4.023 -7.152 0.000
4.023 7.152 0.000
0.000 0.000 4.672
Sm Pu In
2 2 6
Cartesian
4.023 5.511 3.504
4.023 -5.511 1.168
4.023 0.000 0.000
4.023 0.000 2.336
2.139 2.132 3.504
4.023 2.928 1.168
2.139 -2.132 1.168
5.906 2.132 3.504
4.023 -2.928 3.504
5.906 -2.132 1.168
```

# 10
Theoretical PXRD pattern
Compound: Pu4InSn3
Radiation: λ = 1.5418 Å (Cu Kα)
Structure: a DFT-relaxed cell (PBE, Alexandria)

Largest 8 diffraction maxima, by intensity, 10 to 90 degrees two-theta:
d/Å, Position (°2θ), Rel. int.
2.711, 33.05, 100
2.347, 38.34, 51
1.660, 55.35, 36
1.416, 65.96, 28
1.414, 66.08, 14
1.355, 69.34, 12
4.688, 18.93, 10
3.322, 26.84, 9

Structure:
```
Pu4InSn3
1.0
3.322 0.000 0.000
0.000 3.322 0.000
0.000 0.000 18.752
Pu In Sn
4 1 3
Cartesian
0.000 0.000 2.320
0.000 0.000 6.985
0.000 0.000 11.766
0.000 0.000 16.432
1.661 1.661 9.376
1.661 1.661 0.000
1.661 1.661 4.652
1.661 1.661 14.099
```

# 11
Theoretical PXRD pattern
Compound: Pu2In4Sn
Radiation: λ = 1.5418 Å (Cu Kα)
Structure: a DFT-relaxed cell (PBE, Alexandria)

Largest 8 diffraction maxima, by intensity, 10 to 90 degrees two-theta:
d/Å, Position (°2θ), Rel. int.
2.618, 34.25, 100
3.146, 28.37, 77
2.728, 32.83, 56
2.596, 34.55, 55
2.438, 36.87, 39
2.098, 43.11, 30
1.663, 55.23, 28
4.786, 18.54, 26

Structure:
```
Pu2In4Sn
1.0
0.000 5.455 5.902
2.984 0.000 5.902
2.984 5.455 0.000
Pu In Sn
2 4 1
Cartesian
2.984 5.455 1.617
2.984 5.455 10.188
1.492 2.728 0.000
1.492 2.728 2.951
1.492 2.728 5.902
4.476 8.183 8.854
2.984 5.455 5.902
```

# 12
Theoretical PXRD pattern
Compound: Pu2In3Sn3
Radiation: λ = 1.5418 Å (Cu Kα)
Structure: a DFT-relaxed cell (PBE, Alexandria)

Largest 8 diffraction maxima, by intensity, 10 to 90 degrees two-theta:
d/Å, Position (°2θ), Rel. int.
2.686, 33.36, 100
2.387, 37.68, 18
2.314, 38.92, 17
2.280, 39.52, 16
1.429, 65.28, 15
1.397, 66.97, 14
1.382, 67.79, 13
1.662, 55.29, 12

Structure:
```
Pu2In3Sn3
1.0
4.628 0.000 0.000
0.000 4.775 0.000
0.000 0.000 9.121
Pu In Sn
2 3 3
Cartesian
0.000 0.000 2.241
0.000 0.000 6.880
0.000 2.387 4.561
2.314 2.387 2.301
2.314 2.387 6.820
0.000 2.387 0.000
2.314 0.000 0.000
2.314 0.000 4.561
```

Copy entry 7 word for word.
Theoretical PXRD pattern
Compound: Sm3PuIn12
Radiation: λ = 1.5418 Å (Cu Kα)
Structure: a DFT-relaxed cell (PBE, Alexandria)

Largest 8 diffraction maxima, by intensity, 10 to 90 degrees two-theta:
d/Å, Position (°2θ), Rel. int.
2.699, 33.19, 100
1.653, 55.60, 34
2.335, 38.55, 33
1.409, 66.36, 26
2.343, 38.42, 17
1.412, 66.19, 13
1.350, 69.66, 11
1.168, 82.63, 4

Structure:
```
Sm3PuIn12
1.0
4.671 0.000 0.000
0.000 4.671 0.000
0.000 0.000 18.742
Sm Pu In
3 1 12
Cartesian
0.000 0.000 0.000
0.000 0.000 4.680
0.000 0.000 14.062
0.000 0.000 9.371
0.000 2.335 2.348
0.000 2.335 7.062
0.000 2.335 11.680
0.000 2.335 16.394
2.335 0.000 2.348
2.335 0.000 7.062
2.335 0.000 11.680
2.335 0.000 16.394
2.335 2.335 0.000
2.335 2.335 4.706
2.335 2.335 9.371
2.335 2.335 14.036
```